# 1
Ce4ZrO10: computed X-ray diffraction stick pattern (a wavelength of 1.5418 Å), based on the PBE geometry in Alexandria.

Structural model:
Cell: 3.813 3.813 27.071 Å, 90.00 90.00 90.00°
Space group I4/mmm (No. 139)
Unique sites:
Ce: 0.000 0.000 0.098
Ce: 0.000 0.000 0.301
Zr: 0.000 0.000 0.500
O: 0.000 0.500 0.046
O: 0.000 0.500 0.148
O: 0.000 0.500 0.250

Principal peaks in the range 2θ = 15–90°, low angle first:
2θ 28.6, I 100
2θ 33.2, I 18
2θ 47.6, I 55
2θ 56.4, I 14
2θ 56.6, I 29
2θ 76.9, I 11

=====

# 2
KGe8: computed X-ray diffraction stick pattern (a wavelength of 1.5418 Å), based on the PBE geometry in Alexandria.

Structural model:
Cell: 6.012 6.191 6.263 Å, 88.85 73.87 73.87°
Space group P-1 (No. 2)
Unique sites:
K: 0.000 0.000 0.000
Ge: 0.003 0.647 0.356
Ge: 0.307 0.617 0.622
Ge: 0.328 0.992 0.422
Ge: 0.330 0.417 0.994

Principal peaks in the range 2θ = 15–90°, low angle first:
2θ 29.8, I 26
2θ 31.2, I 94
2θ 31.8, I 100
2θ 34.5, I 58
2θ 34.7, I 58
2θ 49.4, I 38

=====

# 3
PrZn2Ni3: computed X-ray diffraction stick pattern (a wavelength of 1.5418 Å), based on the PBE geometry in Alexandria.

Structural model:
Cell: 9.404 7.798 5.202 Å, 90.00 90.00 90.00°
Space group Cmcm (No. 63)
Unique sites:
Pr: 0.000 0.184 0.250
Zn: 0.221 0.500 0.000
Ni: 0.000 0.459 0.750
Ni: 0.151 0.219 0.750

Principal peaks in the range 2θ = 15–90°, low angle first:
2θ 34.5, I 63
2θ 35.4, I 100
2θ 35.8, I 54
2θ 39.6, I 59
2θ 41.7, I 51
2θ 48.8, I 26

=====

# 4
Li10AgAu6: computed X-ray diffraction stick pattern (a wavelength of 1.5418 Å), based on the PBE geometry in Alexandria.

Structural model:
Cell: 7.6712 7.6712 5.4427 Å, 90.00 90.00 120.00°
Space group P-31m (No. 162)
Unique sites:
Li: 0.0000 0.2919 0.3162
Li: 0.3333 0.6667 0.0000
Li: 0.3333 0.6667 0.5000
Ag: 0.0000 0.0000 0.0000
Au: 0.0000 0.3645 0.8067

Principal peaks in the range 2θ = 15–90°, low angle first:
2θ 16.3, I 20
2θ 23.2, I 20
2θ 28.5, I 100
2θ 40.7, I 72
2θ 50.5, I 17
2θ 74.1, I 12